Record 1
Simulated powder diffractogram of K8LaP4S16 for a wavelength of 1.5418 Å, from a DFT-relaxed cell (GGA-PBE, the Materials Project).
Intensities are scaled so that the largest is 100.

The 6 most intense peaks (10 to 80 degrees two-theta), by angle:
hkl	two_theta	d (Å)	I/Imax
0 1 1	10.19	8.680	72
1 1 2	16.50	5.373	100
0 2 4	26.54	3.359	71
3 0 1	30.34	2.946	65
2 2 4	33.35	2.687	96
1 3 4	35.06	2.559	69

Cell and atoms:
```
data_K8LaP4S16
_symmetry_space_group_name_H-M 'I 2 2 2'
_symmetry_Int_Tables_number 23
_cell_length_a 8.953
_cell_length_b 9.847
_cell_length_c 18.378
_cell_angle_alpha 90.00
_cell_angle_beta 90.00
_cell_angle_gamma 90.00
loop_
_symmetry_equiv_pos_as_xyz
'x,y,z'
'-x,-y,z'
'x,-y,-z'
'-x,y,-z'
'x+1/2,y+1/2,z+1/2'
'-x+1/2,-y+1/2,z+1/2'
'x+1/2,-y+1/2,-z+1/2'
'-x+1/2,y+1/2,-z+1/2'
loop_
_atom_site_label
_atom_site_fract_x
_atom_site_fract_y
_atom_site_fract_z
_atom_site_occupancy
K1 0.000 0.000 0.234 1
K2 0.000 0.500 0.245 1
K3 0.132 0.258 0.420 1
La1 0.000 0.500 0.000 1
P1 0.207 0.255 0.127 1
S1 0.019 0.266 0.894 1
S2 0.194 0.414 0.584 1
S3 0.206 0.077 0.575 1
S4 0.248 0.255 0.236 1
```


Record 2
Simulated powder diffractogram of K3LaP2Se8 for a wavelength of 1.5418 Å, from a DFT-relaxed cell (GGA-PBE, the Materials Project).
Intensities are scaled so that the largest is 100.

The 6 most intense peaks (10 to 80 degrees two-theta), by angle:
hkl	two_theta	d (Å)	I/Imax
1 2 1	16.01	5.537	86
2 2 -2	27.20	3.278	77
1 5 -1	27.74	3.216	68
1 3 3	31.75	2.818	58
1 6 -1	32.30	2.771	79
2 4 2	32.42	2.762	100

Cell and atoms:
```
data_K3LaP2Se8
_symmetry_space_group_name_H-M 'P 1 21/c 1'
_symmetry_Int_Tables_number 14
_cell_length_a 9.675
_cell_length_b 18.077
_cell_length_c 10.161
_cell_angle_alpha 90.00
_cell_angle_beta 90.47
_cell_angle_gamma 90.00
loop_
_symmetry_equiv_pos_as_xyz
'x,y,z'
'-x,-y,-z'
'-x,y+1/2,-z+1/2'
'x,-y+1/2,z+1/2'
loop_
_atom_site_label
_atom_site_fract_x
_atom_site_fract_y
_atom_site_fract_z
_atom_site_occupancy
K1 0.118 0.215 0.126 1
K2 0.230 0.032 0.513 1
K3 0.379 0.707 0.873 1
La1 0.274 0.514 0.471 1
P1 0.026 0.598 0.723 1
P2 0.493 0.103 0.246 1
Se1 0.038 0.024 0.179 1
Se2 0.071 0.626 0.929 1
Se3 0.170 0.658 0.590 1
Se4 0.191 0.131 0.827 1
Se5 0.281 0.615 0.222 1
Se6 0.374 0.180 0.366 1
Se7 0.443 0.518 0.753 1
Se8 0.465 0.125 0.030 1
```